Computed XRD peak list
Compound: Lu2MgGe2
Radiation: a wavelength of 1.5418 Å
Structure: a GGA-PBE-relaxed structure

Atomic structure:
Unit cell a=7.145 b=7.145 c=4.171 alpha=90.00 beta=90.00 gamma=90.00
Space group P4/mbm (No. 127)
Unique sites:
Lu: 0.177 0.323 0.000 x4
Mg: 0.000 0.000 0.500 x2
Ge: 0.125 0.625 0.500 x4

Principal peaks in the range 2θ from 5° to 70°, sorted by position:
d/Å  2θ (°)  intensity  (hkl)
5.052  17.6  16  1 1 0
3.573  24.9  17  2 0 0
3.195  27.9  14  2 1 0
2.713  33.0  27  2 0 1
2.537  35.4  100  2 1 1
2.260  39.9  18  3 1 0
2.086  43.4  16  0 0 2
1.733  52.8  12  4 1 0
1.600  57.6  18  4 1 1
1.533  60.4  11  3 1 2

---

Computed XRD peak list
Compound: Lu4MgGe4
Radiation: a wavelength of 1.5418 Å
Structure: a GGA-PBE-relaxed structure

Atomic structure:
Unit cell a=7.108 b=14.302 c=7.641 alpha=90.00 beta=90.00 gamma=90.00
Space group Pnma (No. 62)
Unique sites:
Lu: 0.007 0.093 0.182 x8
Lu: 0.167 0.126 0.676 x8
Mg: 0.163 0.750 0.515 x4
Ge: 0.027 0.750 0.093 x4
Ge: 0.176 0.536 0.465 x8
Ge: 0.207 0.250 0.360 x4

Principal peaks in the range 2θ from 5° to 70°, sorted by position:
d/Å  2θ (°)  intensity  (hkl)
3.575  24.9  20  0 4 0
3.144  28.4  23  2 1 1
2.749  32.6  85  1 3 2
2.670  33.6  100  2 3 1
2.611  34.4  43  0 4 2
2.449  36.7  44  1 4 2
2.395  37.6  33  2 4 1
2.365  38.1  26  1 1 3
2.263  39.8  36  3 0 1
1.561  59.2  27  3 4 3

---

Computed XRD peak list
Compound: LuMnGe2
Radiation: a wavelength of 1.5418 Å
Structure: a GGA-PBE-relaxed structure

Atomic structure:
Unit cell a=5.396 b=18.364 c=8.198 alpha=90.00 beta=90.00 gamma=90.00
Space group Cmmm (No. 65)
Unique sites:
Lu: 0.000 0.094 0.248 x8
Lu: 0.000 0.359 0.000 x4
Mn: 0.000 0.500 0.251 x4
Mn: 0.250 0.250 0.248 x8
Ge: 0.000 0.203 0.000 x4
Ge: 0.000 0.211 0.500 x4
Ge: 0.000 0.362 0.345 x8
Ge: 0.246 0.000 0.000 x4
Ge: 0.246 0.000 0.500 x4

Principal peaks in the range 2θ from 5° to 70°, sorted by position:
d/Å  2θ (°)  intensity  (hkl)
3.214  27.8  43  1 1 2
2.698  33.2  38  2 0 0
2.452  36.6  56  0 6 2
2.440  36.8  100  1 5 2
2.359  38.1  69  1 7 0
2.326  38.7  62  2 4 0
2.189  41.2  80  2 2 2
2.049  44.2  35  0 0 4
1.503  61.7  21  3 5 2
1.424  65.6  20  2 10 2

---

Computed XRD peak list
Compound: Lu4MnGe8
Radiation: a wavelength of 1.5418 Å
Structure: a GGA-PBE-relaxed structure

Atomic structure:
Unit cell a=3.952 b=4.137 c=15.718 alpha=90.00 beta=90.00 gamma=90.00
Space group Pmm2 (No. 25)
Unique sites:
Lu: 0.000 0.000 0.000 x1
Lu: 0.000 0.500 0.492 x1
Lu: 0.500 0.000 0.791 x1
Lu: 0.500 0.500 0.288 x1
Mn: 0.000 0.500 0.703 x1
Ge: 0.000 0.000 0.337 x1
Ge: 0.000 0.000 0.632 x1
Ge: 0.000 0.500 0.141 x1
Ge: 0.000 0.500 0.853 x1
Ge: 0.500 0.000 0.146 x1
Ge: 0.500 0.000 0.448 x1
Ge: 0.500 0.500 0.626 x1
Ge: 0.500 0.500 0.960 x1

Principal peaks in the range 2θ from 5° to 70°, sorted by position:
d/Å  2θ (°)  intensity  (hkl)
3.530  25.2  14  1 0 2
3.247  27.5  8  0 1 3
2.620  34.2  14  0 0 6
2.508  35.8  100  1 1 3
2.183  41.4  12  1 0 6
2.069  43.8  16  0 2 0
1.976  45.9  14  2 0 0
1.551  59.6  7  2 1 5
1.502  61.8  7  1 2 6
1.429  65.3  10  2 2 0

---

Computed XRD peak list
Compound: NaLuGeO4
Radiation: a wavelength of 1.5418 Å
Structure: a GGA-PBE-relaxed structure

Atomic structure:
Unit cell a=11.321 b=6.381 c=5.283 alpha=90.00 beta=90.00 gamma=90.00
Space group Pnma (No. 62)
Unique sites:
Na: 0.000 0.000 0.000 x4
Lu: 0.223 0.250 0.494 x4
Ge: 0.099 0.750 0.550 x4
O: 0.047 0.250 0.333 x4
O: 0.113 0.750 0.221 x4
O: 0.177 0.540 0.708 x8

Principal peaks in the range 2θ from 5° to 70°, sorted by position:
d/Å  2θ (°)  intensity  (hkl)
5.660  15.7  45  2 0 0
4.787  18.5  24  1 0 1
3.829  23.2  89  1 1 1
3.190  28.0  43  0 2 0
3.071  29.1  25  3 0 1
2.767  32.4  100  3 1 1
2.655  33.8  26  1 2 1
1.915  47.5  28  2 2 2
1.748  52.3  27  3 3 1
1.547  59.8  26  7 0 1

---

Computed XRD peak list
Compound: Lu2NiGe4
Radiation: a wavelength of 1.5418 Å
Structure: a GGA-PBE-relaxed structure

Atomic structure:
Unit cell a=4.019 b=4.026 c=16.298 alpha=90.00 beta=90.00 gamma=90.00
Space group Amm2 (No. 38)
Unique sites:
Lu: 0.000 0.000 0.000 x2
Lu: 0.500 0.000 0.211 x2
Ni: 0.000 0.000 0.790 x2
Ge: 0.000 0.000 0.367 x2
Ge: 0.000 0.000 0.649 x2
Ge: 0.500 0.000 0.551 x2
Ge: 0.500 0.000 0.865 x2

Principal peaks in the range 2θ from 5° to 70°, sorted by position:
d/Å  2θ (°)  intensity  (hkl)
3.605  24.7  17  1 0 2
2.802  31.9  12  1 1 1
2.716  33.0  12  0 0 6
2.533  35.4  26  0 1 5
2.520  35.6  100  1 1 3
2.251  40.1  22  1 0 6
2.013  45.0  21  0 2 0
2.010  45.1  20  2 0 0
1.574  58.6  12  2 1 5
1.422  65.6  14  2 2 0

---

Which formula does entry 6 have? Lu2NiGe4